1.
The following is a calculated XRD peak list of CuAg8. It was derived from a structure optimized by DFT (GGA-PBE), using CuKα.
Intensities are scaled so that the largest is 100.

Peak list (10 most intense, 15 to 90 degrees two-theta, sorted by position)
2θ = 37.81°, I = 100.0
2θ = 38.01°, I = 98.1
2θ = 43.94°, I = 32.2
2θ = 44.04°, I = 31.9
2θ = 44.20°, I = 31.2
2θ = 63.94°, I = 29.6
2θ = 64.08°, I = 19.4
2θ = 76.69°, I = 23.0
2θ = 76.82°, I = 11.4
2θ = 77.09°, I = 11.3

a = 5.049 Å, b = 5.049 Å, c = 8.675 Å
α = 106.82°, β = 106.82°, γ = 48.18°
Sites, in units of the cell vectors:
Cu (0.000, 0.000, 0.000)
Ag (0.001, 0.001, 0.672)
Ag (0.333, 0.333, 0.107)
Ag (0.333, 0.333, 0.444)
Ag (0.338, 0.338, 0.784)
Ag (0.662, 0.662, 0.216)
Ag (0.667, 0.667, 0.556)
Ag (0.667, 0.667, 0.893)
Ag (0.999, 0.999, 0.328)


2.
The following is a calculated XRD peak list of Zr2Se2SI. It was derived from a structure optimized by DFT (GGA-PBE), using CuKα.
Intensities are scaled so that the largest is 100.

Peak list (10 most intense, 15 to 90 degrees two-theta, sorted by position)
2θ = 28.01°, I = 37.0
2θ = 30.23°, I = 82.4
2θ = 33.63°, I = 100.0
2θ = 37.94°, I = 22.5
2θ = 42.93°, I = 40.9
2θ = 48.14°, I = 26.4
2θ = 48.46°, I = 24.8
2θ = 48.62°, I = 32.1
2θ = 62.87°, I = 14.8
2θ = 78.54°, I = 12.8

a = 3.780 Å, b = 6.549 Å, c = 13.760 Å
α = 90.00°, β = 90.00°, γ = 90.00°
Sites, in units of the cell vectors:
Zr (0.000, 0.012, 0.000)
Zr (0.000, 0.456, 0.499)
Zr (0.500, 0.544, 0.999)
Zr (0.500, 0.988, 0.500)
Se (0.000, 0.138, 0.622)
Se (0.000, 0.800, 0.389)
Se (0.500, 0.200, 0.889)
Se (0.500, 0.862, 0.122)
S (0.000, 0.693, 0.895)
S (0.500, 0.307, 0.395)
I (0.000, 0.363, 0.143)
I (0.500, 0.637, 0.643)


3.
The following is a calculated XRD peak list of Zn2P2O7. It was derived from a structure optimized by DFT (GGA-PBE), using CuKα.
Intensities are scaled so that the largest is 100.

Peak list (10 most intense, 15 to 90 degrees two-theta, sorted by position)
2θ = 20.42°, I = 27.5
2θ = 29.35°, I = 32.7
2θ = 29.59°, I = 66.3
2θ = 29.87°, I = 100.0
2θ = 30.42°, I = 98.1
2θ = 34.88°, I = 41.8
2θ = 35.79°, I = 18.4
2θ = 43.52°, I = 19.4
2θ = 44.27°, I = 39.0
2θ = 57.94°, I = 28.5

a = 4.488 Å, b = 5.215 Å, c = 5.386 Å
α = 103.33°, β = 98.62°, γ = 99.00°
Sites, in units of the cell vectors:
Zn (0.000, 0.000, 0.000)
Zn (0.022, 0.366, 0.601)
P (0.423, 0.900, 0.510)
P (0.608, 0.467, 0.078)
O (0.236, 0.069, 0.375)
O (0.241, 0.742, 0.662)
O (0.300, 0.296, 0.919)
O (0.520, 0.699, 0.282)
O (0.729, 0.065, 0.678)
O (0.791, 0.305, 0.224)
O (0.796, 0.611, 0.917)


4.
The following is a calculated XRD peak list of TbHoAg6. It was derived from a structure optimized by DFT (GGA-PBE), using CuKα.
Intensities are scaled so that the largest is 100.

Peak list (10 most intense, 15 to 90 degrees two-theta, sorted by position)
2θ = 33.97°, I = 26.7
2θ = 35.81°, I = 42.5
2θ = 38.55°, I = 100.0
2θ = 38.95°, I = 52.5
2θ = 50.19°, I = 17.2
2θ = 61.36°, I = 16.2
2θ = 66.17°, I = 19.3
2θ = 66.45°, I = 10.4
2θ = 73.13°, I = 19.3
2θ = 74.33°, I = 14.8

a = 5.015 Å, b = 6.121 Å, c = 5.212 Å
α = 90.00°, β = 90.00°, γ = 90.00°
Sites, in units of the cell vectors:
Tb (0.000, 0.000, 0.000)
Ho (0.500, 0.500, 0.692)
Ag (0.000, 0.257, 0.506)
Ag (0.000, 0.500, 0.024)
Ag (0.000, 0.743, 0.506)
Ag (0.500, 0.000, 0.663)
Ag (0.500, 0.248, 0.186)
Ag (0.500, 0.752, 0.186)


5.
The following is a calculated XRD peak list of Nb4Mo2As3C3. It was derived from a structure optimized by DFT (GGA-PBE), using CuKα.
Intensities are scaled so that the largest is 100.

Peak list (10 most intense, 15 to 90 degrees two-theta, sorted by position)
2θ = 31.48°, I = 25.6
2θ = 38.70°, I = 100.0
2θ = 44.72°, I = 12.4
2θ = 55.71°, I = 11.6
2θ = 56.06°, I = 23.8
2θ = 65.72°, I = 3.0
2θ = 70.19°, I = 16.5
2θ = 74.39°, I = 15.7
2θ = 78.36°, I = 9.5
2θ = 83.00°, I = 3.5

a = 5.684 Å, b = 5.684 Å, c = 12.594 Å
α = 103.03°, β = 103.03°, γ = 59.99°
Sites, in units of the cell vectors:
Nb (0.031, 0.200, 0.097)
Nb (0.135, 0.301, 0.403)
Nb (0.200, 0.031, 0.597)
Nb (0.301, 0.135, 0.903)
Nb (0.699, 0.865, 0.097)
Nb (0.800, 0.969, 0.403)
Nb (0.865, 0.699, 0.597)
Nb (0.969, 0.800, 0.903)
Mo (0.362, 0.529, 0.085)
Mo (0.471, 0.638, 0.415)
Mo (0.529, 0.362, 0.585)
Mo (0.638, 0.471, 0.915)
As (0.103, 0.897, 0.250)
As (0.270, 0.416, 0.750)
As (0.416, 0.270, 0.250)
As (0.584, 0.730, 0.750)
As (0.730, 0.584, 0.250)
As (0.897, 0.103, 0.750)
C (0.000, 0.500, 0.000)
C (0.163, 0.668, 0.500)
C (0.332, 0.837, 0.000)
C (0.500, 0.000, 0.500)
C (0.668, 0.163, 0.000)
C (0.837, 0.332, 0.500)


6.
The following is a calculated XRD peak list of CsCuSnS3. It was derived from a structure optimized by DFT (GGA-PBE), using CuKα.
Intensities are scaled so that the largest is 100.

Peak list (10 most intense, 15 to 90 degrees two-theta, sorted by position)
2θ = 20.58°, I = 76.0
2θ = 23.10°, I = 50.5
2θ = 29.04°, I = 28.8
2θ = 29.48°, I = 33.8
2θ = 30.31°, I = 100.0
2θ = 33.85°, I = 31.9
2θ = 34.43°, I = 50.0
2θ = 39.13°, I = 49.5
2θ = 41.38°, I = 46.3
2θ = 41.87°, I = 31.4

a = 7.937 Å, b = 7.937 Å, c = 10.418 Å
α = 90.00°, β = 90.00°, γ = 152.01°
Sites, in units of the cell vectors:
Cs (0.238, 0.762, 0.750)
Cs (0.762, 0.238, 0.250)
Cu (0.043, 0.957, 0.250)
Cu (0.957, 0.043, 0.750)
Sn (0.500, 0.500, 0.000)
Sn (0.500, 0.500, 0.500)
S (0.111, 0.889, 0.052)
S (0.111, 0.889, 0.448)
S (0.453, 0.547, 0.250)
S (0.547, 0.453, 0.750)
S (0.889, 0.111, 0.552)
S (0.889, 0.111, 0.948)


7.
The following is a calculated XRD peak list of Rb4Cd5. It was derived from a structure optimized by DFT (GGA-PBE), using CuKα.
Intensities are scaled so that the largest is 100.

Peak list (10 most intense, 15 to 90 degrees two-theta, sorted by position)
2θ = 15.60°, I = 25.4
2θ = 27.19°, I = 72.7
2θ = 28.42°, I = 78.7
2θ = 32.93°, I = 68.9
2θ = 33.28°, I = 100.0
2θ = 36.95°, I = 27.4
2θ = 39.73°, I = 25.1
2θ = 50.32°, I = 24.4
2θ = 52.05°, I = 28.5
2θ = 56.07°, I = 38.2

a = 6.560 Å, b = 6.560 Å, c = 18.844 Å
α = 90.00°, β = 90.00°, γ = 120.00°
Sites, in units of the cell vectors:
Rb (0.000, 0.000, 0.139)
Rb (0.000, 0.000, 0.361)
Rb (0.000, 0.000, 0.639)
Rb (0.000, 0.000, 0.861)
Rb (0.333, 0.667, 0.065)
Rb (0.333, 0.667, 0.435)
Rb (0.667, 0.333, 0.565)
Rb (0.667, 0.333, 0.935)
Cd (0.026, 0.513, 0.250)
Cd (0.333, 0.667, 0.632)
Cd (0.333, 0.667, 0.868)
Cd (0.487, 0.513, 0.250)
Cd (0.487, 0.974, 0.250)
Cd (0.513, 0.026, 0.750)
Cd (0.513, 0.487, 0.750)
Cd (0.667, 0.333, 0.132)
Cd (0.667, 0.333, 0.368)
Cd (0.974, 0.487, 0.750)


8.
The following is a calculated XRD peak list of YHoCu2P4. It was derived from a structure optimized by DFT (GGA-PBE), using CuKα.
Intensities are scaled so that the largest is 100.

Peak list (10 most intense, 15 to 90 degrees two-theta, sorted by position)
2θ = 25.66°, I = 54.2
2θ = 30.28°, I = 16.7
2θ = 36.81°, I = 33.4
2θ = 37.01°, I = 19.3
2θ = 38.96°, I = 100.0
2θ = 49.02°, I = 30.2
2θ = 53.19°, I = 13.4
2θ = 62.84°, I = 13.8
2θ = 62.98°, I = 15.6
2θ = 84.89°, I = 20.0

a = 3.716 Å, b = 3.716 Å, c = 9.717 Å
α = 90.00°, β = 90.00°, γ = 90.00°
Sites, in units of the cell vectors:
Y (0.000, 0.000, 0.000)
Ho (0.500, 0.500, 0.462)
Cu (0.000, 0.500, 0.730)
Cu (0.500, 0.000, 0.730)
P (0.000, 0.000, 0.573)
P (0.000, 0.500, 0.232)
P (0.500, 0.000, 0.232)
P (0.500, 0.500, 0.886)


9.
The following is a calculated XRD peak list of Ho3Er5. It was derived from a structure optimized by DFT (GGA-PBE), using CuKα.
Intensities are scaled so that the largest is 100.

Peak list (10 most intense, 15 to 90 degrees two-theta, sorted by position)
2θ = 28.86°, I = 23.9
2θ = 32.22°, I = 23.9
2θ = 33.14°, I = 100.0
2θ = 43.79°, I = 15.5
2θ = 51.14°, I = 19.8
2θ = 58.04°, I = 20.3
2θ = 61.74°, I = 22.5
2θ = 62.30°, I = 16.4
2θ = 84.71°, I = 14.2
2θ = 89.34°, I = 8.5

a = 7.145 Å, b = 7.145 Å, c = 5.557 Å
α = 90.00°, β = 90.00°, γ = 120.00°
Sites, in units of the cell vectors:
Ho (0.167, 0.334, 0.000)
Ho (0.167, 0.833, 0.000)
Ho (0.666, 0.833, 0.000)
Er (0.000, 0.000, 0.500)
Er (0.001, 0.500, 0.500)
Er (0.500, 0.500, 0.500)
Er (0.500, 0.999, 0.500)
Er (0.667, 0.333, 0.000)


10.
The following is a calculated XRD peak list of AgAsS2. It was derived from a structure optimized by DFT (GGA-PBE), using CuKα.
Intensities are scaled so that the largest is 100.

Peak list (10 most intense, 15 to 90 degrees two-theta, sorted by position)
2θ = 20.22°, I = 13.1
2θ = 23.89°, I = 13.3
2θ = 28.06°, I = 45.4
2θ = 28.43°, I = 12.0
2θ = 32.62°, I = 100.0
2θ = 33.72°, I = 11.3
2θ = 46.57°, I = 29.2
2θ = 47.04°, I = 34.0
2θ = 55.47°, I = 11.8
2θ = 58.01°, I = 14.8

a = 8.705 Å, b = 8.705 Å, c = 8.705 Å
α = 107.75°, β = 107.75°, γ = 107.75°
Sites, in units of the cell vectors:
Ag (0.180, 0.594, 0.763)
Ag (0.237, 0.820, 0.406)
Ag (0.406, 0.237, 0.820)
Ag (0.594, 0.763, 0.180)
Ag (0.763, 0.180, 0.594)
Ag (0.820, 0.406, 0.237)
As (0.072, 0.146, 0.358)
As (0.146, 0.358, 0.072)
As (0.358, 0.072, 0.146)
As (0.642, 0.928, 0.854)
As (0.854, 0.642, 0.928)
As (0.928, 0.854, 0.642)
S (0.113, 0.255, 0.645)
S (0.149, 0.427, 0.352)
S (0.255, 0.645, 0.113)
S (0.352, 0.149, 0.427)
S (0.355, 0.887, 0.745)
S (0.427, 0.352, 0.149)
S (0.573, 0.648, 0.851)
S (0.645, 0.113, 0.255)
S (0.648, 0.851, 0.573)
S (0.745, 0.355, 0.887)
S (0.851, 0.573, 0.648)
S (0.887, 0.745, 0.355)


11.
The following is a calculated XRD peak list of Ho3Fe6CoNi2. It was derived from a structure optimized by DFT (GGA-PBE), using CuKα.
Intensities are scaled so that the largest is 100.

Peak list (10 most intense, 15 to 90 degrees two-theta, sorted by position)
2θ = 20.95°, I = 12.4
2θ = 32.87°, I = 50.5
2θ = 35.85°, I = 35.6
2θ = 36.14°, I = 56.9
2θ = 42.14°, I = 35.0
2θ = 42.51°, I = 100.0
2θ = 45.66°, I = 12.5
2θ = 62.93°, I = 15.8
2θ = 69.37°, I = 22.2
2θ = 76.68°, I = 19.8

a = 8.700 Å, b = 8.700 Å, c = 8.700 Å
α = 33.20°, β = 33.20°, γ = 33.20°
Sites, in units of the cell vectors:
Ho (0.000, 0.000, 0.000)
Ho (0.142, 0.142, 0.142)
Ho (0.858, 0.858, 0.858)
Fe (0.082, 0.583, 0.583)
Fe (0.417, 0.417, 0.918)
Fe (0.417, 0.918, 0.417)
Fe (0.583, 0.082, 0.583)
Fe (0.583, 0.583, 0.082)
Fe (0.918, 0.417, 0.417)
Co (0.500, 0.500, 0.500)
Ni (0.333, 0.333, 0.333)
Ni (0.667, 0.667, 0.667)


12.
The following is a calculated XRD peak list of POsAuO. It was derived from a structure optimized by DFT (GGA-PBE), using CuKα.
Intensities are scaled so that the largest is 100.

Peak list (10 most intense, 15 to 90 degrees two-theta, sorted by position)
2θ = 27.67°, I = 100.0
2θ = 32.17°, I = 21.7
2θ = 32.52°, I = 53.6
2θ = 32.94°, I = 47.4
2θ = 37.39°, I = 17.4
2θ = 43.21°, I = 58.7
2θ = 48.38°, I = 19.9
2θ = 52.89°, I = 24.7
2θ = 59.51°, I = 19.0
2θ = 59.78°, I = 17.1

a = 3.762 Å, b = 6.254 Å, c = 5.507 Å
α = 90.00°, β = 90.00°, γ = 90.00°
Sites, in units of the cell vectors:
P (0.000, 0.244, 0.000)
P (0.000, 0.756, 0.500)
Os (0.000, 0.117, 0.604)
Os (0.000, 0.883, 0.104)
Au (0.500, 0.468, 0.068)
Au (0.500, 0.532, 0.568)
O (0.500, 0.115, 0.587)
O (0.500, 0.885, 0.087)